Diffraction record for Sr3LaV3O12. The powder diffractogram is theoretical, not measured: it uses a DFT-relaxed cell (GGA+U, Alexandria) and CuKα.

The 12 most intense peaks (2θ = 10–80°), sorted by position:
- 2θ 28.59, rel. 100, hkl 5 1 1
- 2θ 28.76, rel. 46, hkl 0 0 3
- 2θ 31.27, rel. 89, hkl 5 1 -2
- 2θ 31.51, rel. 51, hkl 0 2 0
- 2θ 42.57, rel. 20, hkl 10 0 -1
- 2θ 43.18, rel. 44, hkl 0 2 3
- 2θ 48.71, rel. 14, hkl 10 0 2
- 2θ 49.10, rel. 30, hkl 5 1 4
- 2θ 53.90, rel. 13, hkl 10 2 -1
- 2θ 54.28, rel. 27, hkl 5 3 1
- 2θ 55.96, rel. 17, hkl 5 3 -2
- 2θ 68.93, rel. 19, hkl 5 3 4

Structure:
```
data_Sr3LaV3O12
_chemical_formula_sum 'Sr12 La4 V12 O48'
_space_group_name_H-M_alt 'C 1 m 1'
_space_group_IT_number 8
_space_group_name_Hall 'C -2y'
_cell_length_a 21.420
_cell_length_b 5.679
_cell_length_c 9.357
_cell_angle_alpha 90.00
_cell_angle_beta 95.66
_cell_angle_gamma 90.00
loop_
_atom_site_label
_atom_site_fract_x
_atom_site_fract_y
_atom_site_fract_z
Sr1 0.000 0.000 0.000
Sr2 0.026 0.500 0.346
Sr3 0.064 0.000 0.663
Sr4 0.164 0.500 0.660
Sr5 0.192 0.000 0.014
Sr6 0.368 0.500 0.659
La1 0.244 0.500 0.330
La2 0.382 0.000 0.031
V1 0.099 0.500 0.996
V2 0.137 0.000 0.340
V3 0.261 0.000 0.657
V4 0.299 0.500 0.997
V5 0.427 0.500 0.314
V6 0.470 0.000 0.680
O1 0.026 0.500 0.065
O2 0.045 0.500 0.619
O3 0.087 0.000 0.183
O4 0.103 0.253 0.888
O5 0.124 0.251 0.442
O6 0.163 0.500 0.130
O7 0.189 0.000 0.723
O8 0.212 0.000 0.288
O9 0.243 0.500 0.856
O10 0.265 0.260 0.557
O11 0.293 0.248 0.103
O12 0.321 0.000 0.800
O13 0.354 0.500 0.381
O14 0.374 0.500 0.940
O15 0.417 0.000 0.532
O16 0.439 0.258 0.203
O17 0.461 0.256 0.781
O18 0.485 0.500 0.454
```

Diffraction record for SrLaVO4. The powder diffractogram is theoretical, not measured: it uses a DFT-relaxed cell (GGA+U, Alexandria) and CuKα.

The 12 most intense peaks (2θ = 10–80°), sorted by position:
- 2θ 23.50, rel. 27, hkl 1 1 1
- 2θ 31.08, rel. 100, hkl 1 1 3
- 2θ 31.45, rel. 35, hkl 2 0 0
- 2θ 32.29, rel. 35, hkl 0 2 0
- 2θ 42.67, rel. 12, hkl 1 1 5
- 2θ 42.96, rel. 15, hkl 2 0 4
- 2θ 43.33, rel. 13, hkl 0 0 6
- 2θ 43.60, rel. 16, hkl 0 2 4
- 2θ 45.70, rel. 37, hkl 2 2 0
- 2θ 55.77, rel. 20, hkl 3 1 3
- 2θ 56.82, rel. 19, hkl 1 3 3
- 2θ 64.80, rel. 16, hkl 2 2 6

Structure:
```
data_SrLaVO4
_chemical_formula_sum 'Sr4 La4 V4 O16'
_space_group_name_H-M_alt 'A e m 2'
_space_group_IT_number 39
_space_group_name_Hall 'A 2 -2b'
_cell_length_a 5.688
_cell_length_b 5.545
_cell_length_c 12.528
_cell_angle_alpha 90.00
_cell_angle_beta 90.00
_cell_angle_gamma 90.00
loop_
_atom_site_label
_atom_site_fract_x
_atom_site_fract_y
_atom_site_fract_z
Sr1 0.238 0.250 0.000
La1 0.269 0.250 0.714
V1 0.251 0.250 0.359
O1 0.000 0.000 0.337
O2 0.212 0.250 0.530
O3 0.308 0.250 0.191
O4 0.500 0.000 0.367
```